1.
Structure and computed powder X-ray diffraction pattern of Rb2AcMoN4 (a structure optimized by DFT (PBE); CuKα).
Intensities are scaled so that the largest is 100.

Structural model:
Lattice parameters (Å, degrees): 7.3810 8.0928 6.2348 90.00 90.00 90.00
Space group Pmn2_1 (No. 31)
Inequivalent atoms, fractional coordinates:
Rb (0.2393, 0.1412, 0.0000) x4
Ac (0.0000, 0.3954, 0.4818) x2
Mo (0.0000, 0.6635, 0.9709) x2
N (0.0000, 0.4461, 0.0796) x2
N (0.0000, 0.6538, 0.6716) x2
N (0.2174, 0.7725, 0.0474) x4

The 8 most intense peaks (5° ≤ 2θ ≤ 70°), by angle:
(0 1 0), 2θ 10.9, 8.093 Å, intensity 32.0; (0 2 1), 2θ 26.3, 3.394 Å, intensity 100.0; (2 1 0), 2θ 26.5, 3.358 Å, intensity 62.6; (0 0 2), 2θ 28.6, 3.117 Å, intensity 51.0; (2 1 1), 2θ 30.2, 2.956 Å, intensity 70.8; (2 1 2), 2θ 39.4, 2.285 Å, intensity 42.3; (4 0 0), 2θ 49.3, 1.847 Å, intensity 31.6; (4 2 1), 2θ 56.8, 1.621 Å, intensity 23.5

---

2.
Structure and computed powder X-ray diffraction pattern of Ca2Pr5Sm4 (a structure optimized by DFT (PBE); CuKα).
Intensities are scaled so that the largest is 100.

Structural model:
Lattice parameters (Å, degrees): 5.8657 9.0563 9.2846 119.00 90.00 108.88
Space group P-1 (No. 2)
Inequivalent atoms, fractional coordinates:
Ca (0.0916, 0.1838, 0.4531) x2
Pr (0.0000, 0.0000, 0.0000) x1
Pr (0.2584, 0.5169, 0.3184) x2
Pr (0.4358, 0.8728, 0.2319) x2
Sm (0.2024, 0.4046, 0.8989) x2
Sm (0.3718, 0.7436, 0.7829) x2

The 8 most intense peaks (5° ≤ 2θ ≤ 70°), by angle:
(0 0 1), 2θ 11.1, 7.973 Å, intensity 14.7; (0 2 -3), 2θ 29.7, 3.006 Å, intensity 28.0; (-1 1 2), 2θ 30.2, 2.961 Å, intensity 62.4; (2 -1 0), 2θ 30.5, 2.931 Å, intensity 100.0; (1 2 -3), 2θ 35.3, 2.540 Å, intensity 10.5; (2 1 -3), 2θ 43.1, 2.099 Å, intensity 21.6; (-3 2 2), 2θ 54.0, 1.699 Å, intensity 12.1; (3 -4 1), 2θ 54.2, 1.692 Å, intensity 15.5

---

3.
Structure and computed powder X-ray diffraction pattern of ZnGa2Cu2Pt2 (a structure optimized by DFT (PBE); CuKα).
Intensities are scaled so that the largest is 100.

Structural model:
Lattice parameters (Å, degrees): 8.0372 3.8996 6.5169 90.00 101.17 90.00
Space group C2/m (No. 12)
Inequivalent atoms, fractional coordinates:
Zn (0.0000, 0.0000, 0.0000) x2
Ga (0.0760, 0.5000, 0.7162) x4
Cu (0.1381, 0.0000, 0.4248) x4
Pt (0.2189, 0.5000, 0.1599) x4

The 8 most intense peaks (5° ≤ 2θ ≤ 70°), by angle:
(2 0 0), 2θ 22.6, 3.942 Å, intensity 19.4; (1 1 -1), 2θ 28.0, 3.184 Å, intensity 23.6; (1 1 2), 2θ 39.8, 2.264 Å, intensity 100.0; (3 1 -1), 2θ 41.6, 2.172 Å, intensity 91.2; (2 0 -3), 2θ 44.2, 2.048 Å, intensity 36.9; (0 2 0), 2θ 46.6, 1.950 Å, intensity 34.2; (4 0 1), 2θ 51.1, 1.789 Å, intensity 24.1; (2 2 -3), 2θ 66.2, 1.412 Å, intensity 21.6

---

Please write out number 2 again, unchanged.
Structure and computed powder X-ray diffraction pattern of Ca2Pr5Sm4 (a structure optimized by DFT (PBE); CuKα).
Intensities are scaled so that the largest is 100.

Structural model:
Lattice parameters (Å, degrees): 5.8657 9.0563 9.2846 119.00 90.00 108.88
Space group P-1 (No. 2)
Inequivalent atoms, fractional coordinates:
Ca (0.0916, 0.1838, 0.4531) x2
Pr (0.0000, 0.0000, 0.0000) x1
Pr (0.2584, 0.5169, 0.3184) x2
Pr (0.4358, 0.8728, 0.2319) x2
Sm (0.2024, 0.4046, 0.8989) x2
Sm (0.3718, 0.7436, 0.7829) x2

The 8 most intense peaks (5° ≤ 2θ ≤ 70°), by angle:
(0 0 1), 2θ 11.1, 7.973 Å, intensity 14.7; (0 2 -3), 2θ 29.7, 3.006 Å, intensity 28.0; (-1 1 2), 2θ 30.2, 2.961 Å, intensity 62.4; (2 -1 0), 2θ 30.5, 2.931 Å, intensity 100.0; (1 2 -3), 2θ 35.3, 2.540 Å, intensity 10.5; (2 1 -3), 2θ 43.1, 2.099 Å, intensity 21.6; (-3 2 2), 2θ 54.0, 1.699 Å, intensity 12.1; (3 -4 1), 2θ 54.2, 1.692 Å, intensity 15.5

---

Repeat the third record exactly.
Structure and computed powder X-ray diffraction pattern of ZnGa2Cu2Pt2 (a structure optimized by DFT (PBE); CuKα).
Intensities are scaled so that the largest is 100.

Structural model:
Lattice parameters (Å, degrees): 8.0372 3.8996 6.5169 90.00 101.17 90.00
Space group C2/m (No. 12)
Inequivalent atoms, fractional coordinates:
Zn (0.0000, 0.0000, 0.0000) x2
Ga (0.0760, 0.5000, 0.7162) x4
Cu (0.1381, 0.0000, 0.4248) x4
Pt (0.2189, 0.5000, 0.1599) x4

The 8 most intense peaks (5° ≤ 2θ ≤ 70°), by angle:
(2 0 0), 2θ 22.6, 3.942 Å, intensity 19.4; (1 1 -1), 2θ 28.0, 3.184 Å, intensity 23.6; (1 1 2), 2θ 39.8, 2.264 Å, intensity 100.0; (3 1 -1), 2θ 41.6, 2.172 Å, intensity 91.2; (2 0 -3), 2θ 44.2, 2.048 Å, intensity 36.9; (0 2 0), 2θ 46.6, 1.950 Å, intensity 34.2; (4 0 1), 2θ 51.1, 1.789 Å, intensity 24.1; (2 2 -3), 2θ 66.2, 1.412 Å, intensity 21.6

---

- What is the formula in the third record?
  ZnGa2Cu2Pt2